The following is a computed powder X-ray diffraction pattern of FeH4SO4. It was derived from the PBE+U geometry in the Materials Project, using CuKα.

Atomic structure:
Cell: 5.6498 13.7336 8.8552 Å, 90.00 121.01 90.00°
Sites, in units of the cell vectors:
Fe 0.0724 0.0574 0.2667
Fe 0.0724 0.4426 0.7667
Fe 0.9276 0.5574 0.2333
Fe 0.9276 0.9426 0.7333
H 0.0543 0.2020 0.1688
H 0.0543 0.2980 0.6688
H 0.2065 0.2083 0.2372
H 0.2065 0.2917 0.7372
H 0.2442 0.5701 0.4107
H 0.2442 0.9299 0.9107
H 0.4123 0.6041 0.5560
H 0.4123 0.8959 0.0560
H 0.5877 0.1041 0.9440
H 0.5877 0.3959 0.4440
H 0.7558 0.0701 0.0893
H 0.7558 0.4299 0.5893
H 0.7935 0.7083 0.2628
H 0.7935 0.7917 0.7628
H 0.9457 0.7020 0.3312
H 0.9457 0.7980 0.8312
S 0.4903 0.6314 0.8232
S 0.4903 0.8686 0.3232
S 0.5097 0.1314 0.6768
S 0.5097 0.3686 0.1768
O 0.2417 0.5682 0.7577
O 0.2417 0.9318 0.2577
O 0.2664 0.0856 0.5213
O 0.2664 0.4144 0.0213
O 0.4264 0.1280 0.8184
O 0.4264 0.3720 0.3184
O 0.4411 0.7300 0.8552
O 0.4411 0.7700 0.3552
O 0.5589 0.2300 0.6448
O 0.5589 0.2700 0.1448
O 0.5736 0.6280 0.6816
O 0.5736 0.8720 0.1816
O 0.7336 0.5856 0.9787
O 0.7336 0.9144 0.4787
O 0.7583 0.0682 0.7423
O 0.7583 0.4318 0.2423

Peak list (6 most intense, 10° ≤ 2θ ≤ 80°, by angle)
(hkl)	2θ (°)	d_spacing	intensity
0 2 0	12.89	6.867	27
1 1 -1	17.12	5.180	23
1 2 -1	20.48	4.336	100
1 2 0	22.47	3.957	26
0 0 2	23.44	3.795	34
1 2 1	29.53	3.025	20